Entry 1:
This entry pairs a crystal structure of MnVH4O2F5 with its simulated PXRD pattern. Radiation: Cu Kα, 1.54184 Å. Structure: a DFT-relaxed cell (PBE+U, Alexandria).

Top 6 peaks for 5 to 70 degrees two-theta, in order of falling intensity:
2θ/deg  I/Imax
15.55  100
27.98  59
23.78  49
48.68  47
27.49  40
27.79  39

Crystal structure
abc: 7.5639 7.5639 7.5639
angles: 118.19 84.91 128.05
Atoms (fractional coordinates):
Mn 0.0000 0.0000 0.0000
Mn 0.5000 0.0000 0.5000
V 0.5000 0.0000 0.0000
V 0.5000 0.5000 0.5000
H 0.0220 0.5133 0.3062
H 0.0220 0.7158 0.5088
H 0.2929 0.2842 0.8062
H 0.2929 0.4867 0.0088
H 0.7071 0.5133 0.9912
H 0.7071 0.7158 0.1938
H 0.9780 0.2842 0.4912
H 0.9780 0.4867 0.6938
O 0.1250 0.6954 0.4296
O 0.2341 0.3046 0.9296
O 0.7659 0.6954 0.0704
O 0.8750 0.3046 0.5704
F 0.1722 0.2582 0.3356
F 0.1722 0.8366 0.9140
F 0.4220 0.6720 0.7500
F 0.4226 0.2582 0.5860
F 0.4226 0.8366 0.1644
F 0.5774 0.1634 0.8356
F 0.5774 0.7418 0.4140
F 0.5780 0.3280 0.2500
F 0.8278 0.1634 0.0860
F 0.8278 0.7418 0.6644

---

Entry 2:
This entry pairs a crystal structure of MoH8N3F6 with its simulated PXRD pattern. Radiation: Cu Kα, 1.54184 Å. Structure: a DFT-relaxed cell (PBE+U, Alexandria).

Top 6 peaks for 5 to 70 degrees two-theta, in order of falling intensity:
2θ/deg  I/Imax
16.27  100
18.81  58
26.72  48
38.15  38
31.45  26
42.86  24

Crystal structure
abc: 6.6718 6.6718 6.6718
angles: 60.00 60.00 60.00
Atoms (fractional coordinates):
Mo 0.0000 0.0000 0.0000
H 0.1870 0.1870 0.1870
H 0.1870 0.1870 0.4392
H 0.1870 0.4392 0.1870
H 0.4392 0.1870 0.1870
H 0.5608 0.8131 0.8131
H 0.8131 0.5608 0.8131
H 0.8131 0.8131 0.5608
H 0.8131 0.8131 0.8131
N 0.2500 0.2500 0.2500
N 0.5000 0.5000 0.5000
N 0.7500 0.7500 0.7500
F 0.2116 0.2116 0.7884
F 0.2116 0.7884 0.2116
F 0.2116 0.7884 0.7884
F 0.7884 0.2116 0.2116
F 0.7884 0.2116 0.7884
F 0.7884 0.7884 0.2116

---

- Which formula does entry 2 have?
  MoH8N3F6

---

- Number 2 is which compound?
  MoH8N3F6